Starting from a DFT-relaxed cell (GGA-PBE, Alexandria), the powder X-ray diffraction pattern of Ga2SiSnP was computed for Cu Kα.
Kinematic intensities with the Lorentz-polarization factor, no thermal factor.

Crystal structure
Cell lengths 4.716, 4.716, 5.273 Å; angles 90.00, 90.00, 90.00 degrees
Element x y z (fractional)
Ga (0.000, 0.500, 0.000)
Ga (0.500, 0.000, 0.000)
Si (0.000, 0.000, 0.000)
Sn (0.000, 0.000, 0.500)
P (0.500, 0.500, 0.500)

Largest 10 diffraction maxima, by angle, 2θ = 15–90°:
2theta, I (rel.)
18.82, 343
31.75, 1000
34.00, 306
38.17, 445
52.03, 359
55.08, 151
59.44, 165
64.99, 252
66.33, 173
85.36, 122

---

Starting from a DFT-relaxed cell (GGA-PBE, Alexandria), the powder X-ray diffraction pattern of Bi3PS3 was computed for Cu Kα.
Kinematic intensities with the Lorentz-polarization factor, no thermal factor.

Crystal structure
Cell lengths 8.335, 4.084, 11.594 Å; angles 90.00, 94.54, 90.00 degrees
Element x y z (fractional)
Bi (0.126, 0.250, 0.362)
Bi (0.167, 0.250, 0.884)
Bi (0.372, 0.750, 0.648)
Bi (0.628, 0.250, 0.352)
Bi (0.833, 0.750, 0.116)
Bi (0.874, 0.750, 0.638)
P (0.142, 0.250, 0.636)
P (0.858, 0.750, 0.364)
S (0.077, 0.250, 0.134)
S (0.350, 0.750, 0.382)
S (0.395, 0.750, 0.876)
S (0.605, 0.250, 0.124)
S (0.650, 0.250, 0.618)
S (0.923, 0.750, 0.866)

Largest 10 diffraction maxima, by angle, 2θ = 15–90°:
2theta, I (rel.)
23.09, 257
25.39, 333
26.73, 610
27.41, 254
30.70, 1000
30.95, 469
42.85, 360
43.59, 187
44.36, 202
45.43, 281

---

Starting from a DFT-relaxed cell (GGA-PBE, Alexandria), the powder X-ray diffraction pattern of SmSi2Pt7Au was computed for Cu Kα.
Kinematic intensities with the Lorentz-polarization factor, no thermal factor.

Crystal structure
Cell lengths 14.908, 14.908, 14.908 Å; angles 164.33, 164.33, 22.23 degrees
Element x y z (fractional)
Sm (0.000, 0.000, 0.000)
Si (0.380, 0.380, 0.000)
Si (0.620, 0.620, 0.000)
Pt (0.076, 0.576, 0.500)
Pt (0.305, 0.305, 0.000)
Pt (0.424, 0.924, 0.500)
Pt (0.500, 0.500, 0.000)
Pt (0.576, 0.076, 0.500)
Pt (0.695, 0.695, 0.000)
Pt (0.924, 0.424, 0.500)
Au (0.750, 0.250, 0.500)

Largest 10 diffraction maxima, by angle, 2θ = 15–90°:
2theta, I (rel.)
18.19, 113
22.08, 143
23.72, 205
26.71, 183
36.28, 1000
44.18, 212
44.59, 409
49.00, 119
64.89, 136
76.68, 234